Record 1
This entry pairs a crystal structure of RbMg6V with its theoretical powder diffraction line list. Radiation: a wavelength of 1.5418 Å. Structure: a cell relaxed with PBE.
Neutral-atom scattering factors, no anomalous dispersion.

Peak list (12 most intense, 10° ≤ 2θ ≤ 80°, in order of rising 2θ)
2theta, Rel. int.
15.22, 27
22.57, 41
30.43, 17
30.71, 19
31.32, 13
33.61, 36
34.87, 40
35.12, 100
46.17, 12
54.25, 14
61.08, 19
65.35, 16

Structure:
Cell lengths 5.333, 6.764, 6.764 Å; angles 59.41, 90.00, 90.00 degrees
Sites, in units of the cell vectors:
Rb  0.000  0.000  0.000
Mg  0.000  0.014  0.484
Mg  0.000  0.484  0.014
Mg  0.000  0.508  0.508
Mg  0.500  0.187  0.641
Mg  0.500  0.641  0.187
Mg  0.500  0.672  0.672
V  0.500  0.195  0.195

---

Record 2
This entry pairs a crystal structure of ZrCu2O12F8 with its theoretical powder diffraction line list. Radiation: a wavelength of 1.5418 Å. Structure: a cell relaxed with PBE.
Neutral-atom scattering factors, no anomalous dispersion.

Peak list (12 most intense, 10° ≤ 2θ ≤ 80°, in order of rising 2θ)
2theta, Rel. int.
12.54, 43
15.75, 100
15.98, 36
20.77, 18
21.97, 18
22.48, 19
23.84, 28
25.78, 60
31.68, 24
32.90, 17
33.62, 31
37.19, 21

Structure:
Cell lengths 8.597, 8.597, 12.168 Å; angles 109.73, 109.73, 54.79 degrees
Sites, in units of the cell vectors:
Zr  0.234  0.766  0.750
Zr  0.766  0.234  0.250
Cu  0.231  0.545  0.238
Cu  0.455  0.769  0.262
Cu  0.545  0.231  0.738
Cu  0.769  0.455  0.762
O  0.105  0.662  0.092
O  0.139  0.779  0.356
O  0.167  0.748  0.060
O  0.221  0.345  0.117
O  0.221  0.400  0.360
O  0.221  0.861  0.144
O  0.236  0.355  0.872
O  0.252  0.833  0.440
O  0.338  0.895  0.408
O  0.345  0.221  0.617
O  0.355  0.236  0.372
O  0.400  0.221  0.860
O  0.600  0.779  0.140
O  0.645  0.764  0.628
O  0.655  0.779  0.383
O  0.662  0.105  0.592
O  0.748  0.167  0.560
O  0.764  0.645  0.128
O  0.779  0.139  0.856
O  0.779  0.600  0.640
O  0.779  0.655  0.883
O  0.833  0.252  0.940
O  0.861  0.221  0.644
O  0.895  0.338  0.908
F  0.030  0.757  0.789
F  0.066  0.775  0.590
F  0.169  0.401  0.629
F  0.225  0.934  0.910
F  0.243  0.970  0.711
F  0.401  0.169  0.129
F  0.432  0.503  0.829
F  0.497  0.568  0.671
F  0.503  0.432  0.329
F  0.568  0.497  0.171
F  0.599  0.831  0.871
F  0.757  0.030  0.289
F  0.775  0.066  0.090
F  0.831  0.599  0.371
F  0.934  0.225  0.410
F  0.970  0.243  0.211

---

Record 3
This entry pairs a crystal structure of Zn3RhF6 with its theoretical powder diffraction line list. Radiation: a wavelength of 1.5418 Å. Structure: a cell relaxed with PBE.
Neutral-atom scattering factors, no anomalous dispersion.

Peak list (12 most intense, 10° ≤ 2θ ≤ 80°, in order of rising 2θ)
2theta, Rel. int.
15.34, 14
16.79, 100
17.61, 40
19.32, 30
23.23, 15
23.82, 18
25.30, 15
27.20, 22
30.97, 14
33.28, 12
35.67, 15
40.60, 12

Structure:
Cell lengths 5.241, 6.815, 10.666 Å; angles 83.94, 83.22, 74.80 degrees
Sites, in units of the cell vectors:
Zn  0.000  0.000  0.000
Zn  0.000  0.500  0.500
Zn  0.500  0.000  0.000
Rh  0.000  0.500  0.000
F  0.072  0.460  0.658
F  0.091  0.750  0.902
F  0.327  0.313  0.930
F  0.673  0.687  0.070
F  0.909  0.250  0.098
F  0.928  0.540  0.342

---

Record 4
This entry pairs a crystal structure of Ba5Ge3 with its theoretical powder diffraction line list. Radiation: a wavelength of 1.5418 Å. Structure: a cell relaxed with PBE.
Neutral-atom scattering factors, no anomalous dispersion.

Peak list (12 most intense, 10° ≤ 2θ ≤ 80°, in order of rising 2θ)
2theta, Rel. int.
23.72, 16
28.13, 100
29.36, 23
29.71, 66
32.92, 43
35.44, 11
43.71, 18
44.44, 12
46.45, 22
49.93, 19
58.58, 17
58.98, 16

Structure:
Cell lengths 8.603, 8.603, 16.825 Å; angles 90.00, 90.00, 90.00 degrees
Sites, in units of the cell vectors:
Ba  0.056  0.583  0.108
Ba  0.056  0.917  0.608
Ba  0.083  0.556  0.392
Ba  0.083  0.944  0.892
Ba  0.250  0.250  0.222
Ba  0.250  0.250  0.722
Ba  0.417  0.556  0.892
Ba  0.417  0.944  0.392
Ba  0.444  0.583  0.608
Ba  0.444  0.917  0.108
Ba  0.556  0.083  0.892
Ba  0.556  0.417  0.392
Ba  0.583  0.056  0.608
Ba  0.583  0.444  0.108
Ba  0.750  0.750  0.278
Ba  0.750  0.750  0.778
Ba  0.917  0.056  0.108
Ba  0.917  0.444  0.608
Ba  0.944  0.083  0.392
Ba  0.944  0.417  0.892
Ge  0.142  0.642  0.750
Ge  0.142  0.858  0.250
Ge  0.250  0.250  0.010
Ge  0.250  0.250  0.510
Ge  0.358  0.642  0.250
Ge  0.358  0.858  0.750
Ge  0.642  0.142  0.250
Ge  0.642  0.358  0.750
Ge  0.750  0.750  0.490
Ge  0.750  0.750  0.990
Ge  0.858  0.142  0.750
Ge  0.858  0.358  0.250

---

Record 5
This entry pairs a crystal structure of TiPd3 with its theoretical powder diffraction line list. Radiation: a wavelength of 1.5418 Å. Structure: a cell relaxed with PBE.
Neutral-atom scattering factors, no anomalous dispersion.

Peak list (12 most intense, 10° ≤ 2θ ≤ 80°, in order of rising 2θ)
2theta, Rel. int.
20.88, 5
27.01, 9
32.18, 5
37.33, 8
38.67, 44
39.79, 36
42.50, 100
48.32, 23
55.70, 5
64.32, 9
67.32, 22
74.09, 18

Structure:
Cell lengths 5.564, 5.564, 9.062 Å; angles 90.00, 90.00, 120.00 degrees
Sites, in units of the cell vectors:
Ti  0.000  0.000  0.000
Ti  0.000  0.000  0.500
Ti  0.333  0.667  0.250
Ti  0.667  0.333  0.750
Pd  0.000  0.500  0.000
Pd  0.000  0.500  0.500
Pd  0.166  0.332  0.750
Pd  0.166  0.834  0.750
Pd  0.332  0.166  0.250
Pd  0.500  0.000  0.000
Pd  0.500  0.000  0.500
Pd  0.500  0.500  0.000
Pd  0.500  0.500  0.500
Pd  0.668  0.834  0.750
Pd  0.834  0.166  0.250
Pd  0.834  0.668  0.250

---

Record 6
This entry pairs a crystal structure of Cu3As with its theoretical powder diffraction line list. Radiation: a wavelength of 1.5418 Å. Structure: a cell relaxed with PBE.
Neutral-atom scattering factors, no anomalous dispersion.

Peak list (11 most intense, 10° ≤ 2θ ≤ 80°, in order of rising 2θ)
2theta, Rel. int.
38.97, 12
39.20, 25
41.60, 41
44.40, 51
44.61, 100
58.31, 7
58.49, 14
70.73, 15
71.21, 8
77.88, 9
78.03, 17

Structure:
Cell lengths 4.341, 5.297, 4.623 Å; angles 90.00, 90.00, 90.00 degrees
Sites, in units of the cell vectors:
Cu  0.250  0.001  0.162
Cu  0.250  0.250  0.670
Cu  0.250  0.499  0.162
Cu  0.750  0.501  0.838
Cu  0.750  0.750  0.330
Cu  0.750  0.999  0.838
As  0.250  0.750  0.670
As  0.750  0.250  0.330